# Li4VO3F2
Simulated powder diffraction line list, Cu Kα (λ = 1.5418 Å). Input: DFT lattice parameters and positions (PBE+U).

Most intense lines, 10° ≤ 2θ ≤ 90°, low angle first:
- d 4.822, 2θ 18.40, rel. 100
- d 4.728, 2θ 18.77, rel. 41
- d 3.935, 2θ 22.59, rel. 29
- d 3.450, 2θ 25.82, rel. 23
- d 3.361, 2θ 26.52, rel. 21
- d 3.003, 2θ 29.75, rel. 17
- d 2.119, 2θ 42.66, rel. 61
- d 2.110, 2θ 42.87, rel. 58
- d 2.027, 2θ 44.72, rel. 49
- d 1.461, 2θ 63.67, rel. 26

Crystal structure
```
Li4VO3F2
1.0
5.1570 0.0000 0.0000
-0.8544 5.0931 0.0000
-2.3817 -2.3299 6.9002
Li V O F
8 2 6 4
Cartesian
0.0000 0.0000 0.0000 Li
-1.5540 1.3388 3.5137 Li
-1.6479 0.5063 6.1944 Li
0.8184 1.8733 1.9648 Li
2.6023 -0.3688 1.2932 Li
1.0449 1.0942 4.8187 Li
1.7599 3.6329 4.1751 Li
3.4843 2.1261 0.7362 Li
0.0118 -0.8648 2.6090 V
-0.1178 -1.8058 5.4309 V
-0.8136 0.5931 1.7939 O
-2.4143 2.1435 5.1549 O
-0.7641 -0.3424 4.3562 O
-0.0613 3.4923 1.1836 O
-0.0038 2.7403 3.8665 O
1.7903 1.1717 0.1546 O
1.6575 0.2800 3.0267 F
0.0697 1.7207 6.4399 F
1.7891 -0.6156 5.8221 F
2.6375 3.0770 2.3234 F
```